Structure and simulated X-ray powder pattern of Rb2PrCoO4 (the PBE+U geometry in Alexandria; CuKα).

```
Rb2PrCoO4
1.0
0.000 6.473 12.111
2.971 0.000 12.111
2.971 6.473 0.000
Rb Pr Co O
4 2 2 8
direct
0.072 0.072 0.678 Rb
0.322 0.322 0.928 Rb
0.678 0.678 0.072 Rb
0.928 0.928 0.322 Rb
0.125 0.125 0.125 Pr
0.875 0.875 0.875 Pr
0.375 0.375 0.375 Co
0.625 0.625 0.625 Co
0.040 0.644 0.525 O
0.291 0.525 0.644 O
0.356 0.960 0.709 O
0.475 0.709 0.960 O
0.525 0.291 0.040 O
0.644 0.040 0.291 O
0.709 0.475 0.356 O
0.960 0.356 0.475 O
```

Principal peaks in the range 2θ from 10° to 90°, sorted by position:
d (Å), 2θ (°), I/Imax
6.056, 14.6, 1000
3.606, 24.7, 295
3.425, 26.0, 467
3.237, 27.6, 273
2.833, 31.6, 338
2.700, 33.2, 386
2.466, 36.4, 254
2.269, 39.7, 245